1.
Simulated X-ray diffraction stick pattern
Compound: LiSnPO4
Radiation: CuKα
Structure: DFT lattice parameters and positions (PBE)

Top 10 peaks for 10 to 90 degrees two-theta, in order of rising 2θ:
2theta  I (rel.)
14.6  81
18.0  41
20.1  100
22.6  34
23.7  58
29.2  32
31.5  33
31.6  49
35.1  34
35.9  35

Cell and atoms:
Cell: 5.754 10.012 8.933 Å, 90.00 120.90 90.00°
Fractional positions:
Li 0.208 0.168 0.005
Li 0.208 0.332 0.505
Li 0.792 0.668 0.495
Li 0.792 0.832 0.995
Sn 0.240 0.638 0.979
Sn 0.240 0.862 0.479
Sn 0.760 0.138 0.521
Sn 0.760 0.362 0.021
P 0.122 0.593 0.278
P 0.122 0.907 0.778
P 0.878 0.093 0.222
P 0.878 0.407 0.722
O 0.013 0.673 0.381
O 0.013 0.827 0.881
O 0.051 0.133 0.423
O 0.051 0.367 0.923
O 0.071 0.059 0.786
O 0.071 0.441 0.286
O 0.415 0.632 0.345
O 0.415 0.868 0.845
O 0.585 0.132 0.155
O 0.585 0.368 0.655
O 0.929 0.559 0.714
O 0.929 0.941 0.214
O 0.949 0.633 0.077
O 0.949 0.867 0.577
O 0.987 0.173 0.119
O 0.987 0.327 0.619

***

2.
Simulated X-ray diffraction stick pattern
Compound: Li2SnP6O18
Radiation: CuKα
Structure: DFT lattice parameters and positions (PBE)

Top 10 peaks for 10 to 90 degrees two-theta, in order of rising 2θ:
2theta  I (rel.)
12.6  32
13.8  48
15.3  100
16.5  31
18.4  30
20.7  31
21.0  38
26.0  28
27.0  34
30.1  28

Cell and atoms:
Cell: 7.271 7.613 7.720 Å, 89.26 73.46 67.66°
Fractional positions:
Li 0.000 0.000 0.000
Li 0.183 0.829 0.262
Sn 0.498 0.399 0.657
P 0.053 0.563 0.012
P 0.365 0.874 0.642
P 0.445 0.123 0.365
P 0.664 0.530 0.999
P 0.752 0.940 0.547
P 0.889 0.313 0.244
O 0.005 0.458 0.191
O 0.032 0.109 0.217
O 0.057 0.747 0.066
O 0.213 0.006 0.802
O 0.246 0.419 0.874
O 0.343 0.972 0.457
O 0.354 0.679 0.618
O 0.357 0.302 0.503
O 0.436 0.145 0.179
O 0.477 0.671 0.131
O 0.605 0.826 0.632
O 0.652 0.461 0.820
O 0.675 0.120 0.681
O 0.684 0.007 0.367
O 0.736 0.400 0.429
O 0.770 0.336 0.090
O 0.855 0.601 0.939
O 0.975 0.815 0.496

***

3.
Simulated X-ray diffraction stick pattern
Compound: LiSn4P3O12
Radiation: CuKα
Structure: DFT lattice parameters and positions (PBE)

Top 10 peaks for 10 to 90 degrees two-theta, in order of rising 2θ:
2theta  I (rel.)
21.0  26
21.6  37
22.0  100
25.3  20
27.8  40
28.2  25
31.2  28
33.1  20
37.7  20
50.0  24

Cell and atoms:
Cell: 10.026 10.026 10.026 Å, 59.08 59.08 59.08°
Fractional positions:
Li 0.000 0.000 0.000
Li 0.500 0.500 0.500
Sn 0.087 0.600 0.746
Sn 0.100 0.587 0.246
Sn 0.186 0.186 0.186
Sn 0.246 0.100 0.587
Sn 0.587 0.246 0.100
Sn 0.600 0.746 0.087
Sn 0.686 0.686 0.686
Sn 0.746 0.087 0.600
P 0.216 0.774 0.326
P 0.274 0.716 0.826
P 0.326 0.216 0.774
P 0.716 0.826 0.274
P 0.774 0.326 0.216
P 0.826 0.274 0.716
O 0.111 0.678 0.493
O 0.143 0.958 0.309
O 0.178 0.611 0.993
O 0.183 0.212 0.756
O 0.195 0.899 0.821
O 0.212 0.756 0.183
O 0.256 0.712 0.683
O 0.309 0.143 0.958
O 0.321 0.399 0.695
O 0.399 0.695 0.321
O 0.458 0.643 0.809
O 0.493 0.111 0.678
O 0.611 0.993 0.178
O 0.643 0.809 0.458
O 0.678 0.493 0.111
O 0.683 0.256 0.712
O 0.695 0.321 0.399
O 0.712 0.683 0.256
O 0.756 0.183 0.212
O 0.809 0.458 0.643
O 0.821 0.195 0.899
O 0.899 0.821 0.195
O 0.958 0.309 0.143
O 0.993 0.178 0.611

***

4.
Simulated X-ray diffraction stick pattern
Compound: LiSnP2O7
Radiation: CuKα
Structure: DFT lattice parameters and positions (PBE)

Top 10 peaks for 10 to 90 degrees two-theta, in order of rising 2θ:
2theta  I (rel.)
13.9  65
21.5  49
21.8  100
27.1  19
30.3  22
30.7  30
34.1  26
38.5  22
41.1  15
51.9  13

Cell and atoms:
Cell: 9.161 5.178 14.101 Å, 90.00 115.28 90.00°
Fractional positions:
Li 0.000 0.026 0.000
Li 0.000 0.974 0.500
Li 0.701 0.373 0.746
Li 0.701 0.627 0.246
Sn 0.316 0.010 0.434
Sn 0.316 0.990 0.934
Sn 0.796 0.487 0.466
Sn 0.796 0.513 0.966
P 0.227 0.485 0.562
P 0.227 0.515 0.062
P 0.393 0.480 0.803
P 0.393 0.520 0.303
P 0.707 0.049 0.577
P 0.707 0.951 0.077
P 0.909 0.113 0.299
P 0.909 0.887 0.799
O 0.069 0.344 0.537
O 0.069 0.656 0.037
O 0.093 0.165 0.337
O 0.093 0.835 0.837
O 0.205 0.245 0.008
O 0.205 0.755 0.508
O 0.288 0.278 0.826
O 0.288 0.722 0.326
O 0.294 0.428 0.183
O 0.294 0.572 0.683
O 0.347 0.306 0.546
O 0.347 0.694 0.046
O 0.416 0.268 0.366
O 0.416 0.732 0.866
O 0.548 0.113 0.034
O 0.548 0.887 0.534
O 0.555 0.379 0.814
O 0.555 0.621 0.314
O 0.692 0.315 0.614
O 0.692 0.685 0.114
O 0.783 0.058 0.498
O 0.783 0.942 0.998
O 0.824 0.338 0.324
O 0.824 0.662 0.824
O 0.838 0.121 0.172
O 0.838 0.879 0.672
O 0.878 0.141 0.840
O 0.878 0.859 0.340

***

5.
Simulated X-ray diffraction stick pattern
Compound: Li2SnP4O12
Radiation: CuKα
Structure: DFT lattice parameters and positions (PBE)

Top 10 peaks for 10 to 90 degrees two-theta, in order of rising 2θ:
2theta  I (rel.)
11.0  100
15.3  16
17.0  39
21.2  32
23.7  30
24.0  62
27.3  18
28.4  33
32.7  17
34.4  21

Cell and atoms:
Cell: 9.549 9.549 7.559 Å, 93.43 93.43 122.33°
Fractional positions:
Li 0.048 0.669 0.789
Li 0.331 0.952 0.711
Li 0.669 0.048 0.289
Li 0.952 0.331 0.211
Sn 0.386 0.614 0.250
Sn 0.614 0.386 0.750
P 0.063 0.708 0.373
P 0.270 0.428 0.811
P 0.292 0.937 0.127
P 0.428 0.270 0.311
P 0.572 0.730 0.689
P 0.708 0.063 0.873
P 0.730 0.572 0.189
P 0.937 0.292 0.627
O 0.074 0.566 0.294
O 0.128 0.341 0.643
O 0.133 0.777 0.564
O 0.141 0.859 0.250
O 0.199 0.444 0.977
O 0.223 0.867 0.936
O 0.341 0.128 0.143
O 0.342 0.364 0.314
O 0.364 0.342 0.814
O 0.386 0.614 0.750
O 0.434 0.926 0.206
O 0.444 0.199 0.477
O 0.556 0.801 0.523
O 0.566 0.074 0.794
O 0.614 0.386 0.250
O 0.636 0.658 0.186
O 0.658 0.636 0.686
O 0.659 0.872 0.857
O 0.777 0.133 0.064
O 0.801 0.556 0.023
O 0.859 0.141 0.750
O 0.867 0.223 0.436
O 0.872 0.659 0.357
O 0.926 0.434 0.706

***

6.
Simulated X-ray diffraction stick pattern
Compound: LiSnPO4
Radiation: CuKα
Structure: DFT lattice parameters and positions (PBE)

Top 10 peaks for 10 to 90 degrees two-theta, in order of rising 2θ:
2theta  I (rel.)
11.9  68
17.3  36
21.1  27
23.9  62
27.2  28
27.9  95
29.7  100
30.1  32
30.5  41
64.2  28

Cell and atoms:
Cell: 7.068 7.444 14.828 Å, 90.00 90.00 90.00°
Fractional positions:
Li 0.222 0.108 0.240
Li 0.222 0.392 0.740
Li 0.278 0.608 0.240
Li 0.278 0.892 0.740
Li 0.722 0.108 0.260
Li 0.722 0.392 0.760
Li 0.778 0.608 0.260
Li 0.778 0.892 0.760
Sn 0.104 0.702 0.570
Sn 0.104 0.798 0.070
Sn 0.396 0.202 0.570
Sn 0.396 0.298 0.070
Sn 0.604 0.702 0.930
Sn 0.604 0.798 0.430
Sn 0.896 0.202 0.930
Sn 0.896 0.298 0.430
P 0.054 0.623 0.866
P 0.054 0.877 0.366
P 0.446 0.123 0.866
P 0.446 0.377 0.366
P 0.554 0.623 0.634
P 0.554 0.877 0.134
P 0.946 0.123 0.634
P 0.946 0.377 0.134
O 0.041 0.564 0.153
O 0.041 0.936 0.653
O 0.106 0.231 0.126
O 0.106 0.269 0.626
O 0.162 0.615 0.958
O 0.162 0.885 0.458
O 0.189 0.659 0.788
O 0.189 0.841 0.288
O 0.311 0.159 0.788
O 0.311 0.341 0.288
O 0.338 0.115 0.958
O 0.338 0.385 0.458
O 0.394 0.731 0.126
O 0.394 0.769 0.626
O 0.459 0.064 0.153
O 0.459 0.436 0.653
O 0.541 0.564 0.347
O 0.541 0.936 0.847
O 0.606 0.231 0.374
O 0.606 0.269 0.874
O 0.662 0.615 0.542
O 0.662 0.885 0.042
O 0.689 0.659 0.712
O 0.689 0.841 0.212
O 0.811 0.159 0.712
O 0.811 0.341 0.212
O 0.838 0.115 0.542
O 0.838 0.385 0.042
O 0.894 0.731 0.374
O 0.894 0.769 0.874
O 0.959 0.064 0.347
O 0.959 0.436 0.847

***

7.
Simulated X-ray diffraction stick pattern
Compound: Li3SnP2O8
Radiation: CuKα
Structure: DFT lattice parameters and positions (PBE)

Top 10 peaks for 10 to 90 degrees two-theta, in order of rising 2θ:
2theta  I (rel.)
11.3  52
20.9  20
23.8  100
31.1  49
36.6  22
38.5  24
42.6  16
44.2  16
48.8  13
57.4  18

Cell and atoms:
Cell: 8.500 8.500 7.802 Å, 90.00 90.00 120.00°
Fractional positions:
Li 0.000 0.000 0.000
Li 0.002 0.322 0.135
Li 0.007 0.647 0.863
Li 0.320 0.998 0.135
Li 0.333 0.667 0.153
Li 0.353 0.359 0.863
Li 0.641 0.993 0.863
Li 0.667 0.333 0.998
Li 0.678 0.680 0.135
Sn 0.000 0.000 0.444
Sn 0.333 0.667 0.552
Sn 0.667 0.333 0.544
P 0.007 0.298 0.746
P 0.291 0.993 0.746
P 0.358 0.344 0.250
P 0.656 0.015 0.250
P 0.702 0.709 0.746
P 0.985 0.642 0.250
O 0.062 0.238 0.912
O 0.072 0.232 0.587
O 0.110 0.509 0.744
O 0.160 0.928 0.587
O 0.176 0.938 0.912
O 0.192 0.758 0.232
O 0.222 0.130 0.269
O 0.242 0.434 0.232
O 0.399 0.890 0.744
O 0.427 0.201 0.743
O 0.474 0.376 0.086
O 0.486 0.417 0.408
O 0.491 0.601 0.744
O 0.566 0.808 0.232
O 0.583 0.070 0.408
O 0.624 0.098 0.086
O 0.762 0.824 0.912
O 0.768 0.840 0.587
O 0.773 0.573 0.743
O 0.799 0.227 0.743
O 0.870 0.092 0.269
O 0.902 0.526 0.086
O 0.908 0.778 0.269
O 0.930 0.514 0.408

***

Please write out number 6 again, unchanged.
Simulated X-ray diffraction stick pattern
Compound: LiSnPO4
Radiation: CuKα
Structure: DFT lattice parameters and positions (PBE)

Top 10 peaks for 10 to 90 degrees two-theta, in order of rising 2θ:
2theta  I (rel.)
11.9  68
17.3  36
21.1  27
23.9  62
27.2  28
27.9  95
29.7  100
30.1  32
30.5  41
64.2  28

Cell and atoms:
Cell: 7.068 7.444 14.828 Å, 90.00 90.00 90.00°
Fractional positions:
Li 0.222 0.108 0.240
Li 0.222 0.392 0.740
Li 0.278 0.608 0.240
Li 0.278 0.892 0.740
Li 0.722 0.108 0.260
Li 0.722 0.392 0.760
Li 0.778 0.608 0.260
Li 0.778 0.892 0.760
Sn 0.104 0.702 0.570
Sn 0.104 0.798 0.070
Sn 0.396 0.202 0.570
Sn 0.396 0.298 0.070
Sn 0.604 0.702 0.930
Sn 0.604 0.798 0.430
Sn 0.896 0.202 0.930
Sn 0.896 0.298 0.430
P 0.054 0.623 0.866
P 0.054 0.877 0.366
P 0.446 0.123 0.866
P 0.446 0.377 0.366
P 0.554 0.623 0.634
P 0.554 0.877 0.134
P 0.946 0.123 0.634
P 0.946 0.377 0.134
O 0.041 0.564 0.153
O 0.041 0.936 0.653
O 0.106 0.231 0.126
O 0.106 0.269 0.626
O 0.162 0.615 0.958
O 0.162 0.885 0.458
O 0.189 0.659 0.788
O 0.189 0.841 0.288
O 0.311 0.159 0.788
O 0.311 0.341 0.288
O 0.338 0.115 0.958
O 0.338 0.385 0.458
O 0.394 0.731 0.126
O 0.394 0.769 0.626
O 0.459 0.064 0.153
O 0.459 0.436 0.653
O 0.541 0.564 0.347
O 0.541 0.936 0.847
O 0.606 0.231 0.374
O 0.606 0.269 0.874
O 0.662 0.615 0.542
O 0.662 0.885 0.042
O 0.689 0.659 0.712
O 0.689 0.841 0.212
O 0.811 0.159 0.712
O 0.811 0.341 0.212
O 0.838 0.115 0.542
O 0.838 0.385 0.042
O 0.894 0.731 0.374
O 0.894 0.769 0.874
O 0.959 0.064 0.347
O 0.959 0.436 0.847